(1)
Diffraction record for Sn5P6O25. The powder diffraction line list is calculated, not measured: it uses a crystal structure in the Materials Project, relaxed with PBE and Cu Ka.

Cell and atoms:
a = 10.0994 Å, b = 10.0994 Å, c = 10.0994 Å
α = 49.63°, β = 49.63°, γ = 49.63°
Fractional coordinates of all 36 atoms:
Sn  0.0000  0.0000  0.0000
Sn  0.1731  0.1731  0.1731
Sn  0.4283  0.4283  0.4283
Sn  0.5717  0.5717  0.5717
Sn  0.8269  0.8269  0.8269
P  0.0611  0.3864  0.8207
P  0.1793  0.9389  0.6136
P  0.3864  0.8207  0.0611
P  0.6136  0.1793  0.9389
P  0.8207  0.0611  0.3864
P  0.9389  0.6137  0.1793
O  0.0447  0.7261  0.0999
O  0.0878  0.4372  0.1359
O  0.0999  0.0447  0.7261
O  0.1032  0.7854  0.7263
O  0.1359  0.0878  0.4372
O  0.1672  0.4419  0.5986
O  0.2146  0.2737  0.8968
O  0.2737  0.8968  0.2146
O  0.2739  0.9001  0.9553
O  0.4014  0.8328  0.5581
O  0.4372  0.1359  0.0878
O  0.4419  0.5986  0.1672
O  0.5000  0.5000  0.5000
O  0.5581  0.4014  0.8328
O  0.5628  0.8641  0.9122
O  0.5986  0.1672  0.4419
O  0.7261  0.0999  0.0447
O  0.7263  0.1032  0.7854
O  0.7854  0.7263  0.1032
O  0.8328  0.5581  0.4014
O  0.8641  0.9122  0.5628
O  0.8968  0.2146  0.2737
O  0.9001  0.9553  0.2739
O  0.9122  0.5628  0.8641
O  0.9553  0.2739  0.9001

Principal peaks in the range 2θ = 10–90°, in order of rising 2θ:
- 10.01 deg, intensity 43
- 20.67 deg, intensity 74
- 20.96 deg, intensity 100
- 23.28 deg, intensity 56
- 29.60 deg, intensity 63
- 40.30 deg, intensity 36

(2)
Diffraction record for Eu2TeO2. The powder diffraction line list is calculated, not measured: it uses a crystal structure in the Materials Project, relaxed with PBE and Cu Ka.

Cell and atoms:
a = 7.3857 Å, b = 7.3857 Å, c = 7.3857 Å
α = 148.30°, β = 148.30°, γ = 45.45°
Fractional coordinates of all 5 atoms:
Eu  0.1684  0.1684  0.0000
Eu  0.8316  0.8316  0.0000
Te  0.5000  0.5000  0.0000
O  0.2500  0.7500  0.5000
O  0.7500  0.2500  0.5000

Principal peaks in the range 2θ = 10–90°, in order of rising 2θ:
- 29.62 deg, intensity 100
- 31.35 deg, intensity 37
- 44.93 deg, intensity 18
- 51.43 deg, intensity 24
- 54.74 deg, intensity 35
- 61.48 deg, intensity 11

(3)
Diffraction record for MgTl6C2O6F2. The powder diffraction line list is calculated, not measured: it uses a crystal structure in the Materials Project, relaxed with PBE and Cu Ka.

Cell and atoms:
a = 6.3262 Å, b = 7.6817 Å, c = 8.0099 Å
α = 107.40°, β = 90.03°, γ = 91.27°
Fractional coordinates of all 17 atoms:
Mg  0.0000  0.0000  0.0000
Tl  0.0620  0.6996  0.6285
Tl  0.4678  0.0478  0.6287
Tl  0.4727  0.7794  0.9287
Tl  0.4850  0.4420  0.1918
Tl  0.9557  0.3035  0.3681
Tl  0.9683  0.3909  0.8661
C  0.4912  0.4451  0.5940
C  0.9883  0.7327  0.2291
O  0.0519  0.8363  0.3783
O  0.4505  0.4115  0.7411
O  0.4907  0.6112  0.5842
O  0.5349  0.3094  0.4549
O  0.9401  0.5594  0.2007
O  0.9715  0.7959  0.0942
F  0.2209  0.1736  0.0078
F  0.7490  0.0692  0.9080

Principal peaks in the range 2θ = 10–90°, in order of rising 2θ:
- 23.56 deg, intensity 67
- 24.00 deg, intensity 36
- 26.80 deg, intensity 44
- 26.91 deg, intensity 51
- 27.79 deg, intensity 43
- 28.22 deg, intensity 100

(4)
Diffraction record for Cd3Ga2N4. The powder diffraction line list is calculated, not measured: it uses a crystal structure in the Materials Project, relaxed with PBE and Cu Ka.

Cell and atoms:
a = 5.7557 Å, b = 10.8764 Å, c = 8.8462 Å
α = 90.00°, β = 90.00°, γ = 90.00°
Fractional coordinates of all 36 atoms:
Cd  0.2204  0.1539  0.1201
Cd  0.2204  0.3461  0.3799
Cd  0.2500  0.0000  0.4496
Cd  0.2500  0.5000  0.0504
Cd  0.2796  0.6539  0.3799
Cd  0.2796  0.8461  0.1201
Cd  0.7204  0.1539  0.8799
Cd  0.7204  0.3461  0.6201
Cd  0.7500  0.0000  0.5504
Cd  0.7500  0.5000  0.9496
Cd  0.7796  0.6539  0.6201
Cd  0.7796  0.8461  0.8799
Ga  0.2313  0.7500  0.7500
Ga  0.2500  0.0000  0.7929
Ga  0.2500  0.5000  0.7071
Ga  0.2687  0.2500  0.7500
Ga  0.7313  0.7500  0.2500
Ga  0.7500  0.0000  0.2071
Ga  0.7500  0.5000  0.2929
Ga  0.7687  0.2500  0.2500
N  0.0306  0.6074  0.8267
N  0.0306  0.8926  0.6733
N  0.0999  0.1418  0.8838
N  0.0999  0.3582  0.6162
N  0.4001  0.6418  0.6162
N  0.4001  0.8582  0.8838
N  0.4694  0.1074  0.6733
N  0.4694  0.3926  0.8267
N  0.5306  0.6074  0.1733
N  0.5306  0.8926  0.3267
N  0.5999  0.1418  0.1162
N  0.5999  0.3582  0.3838
N  0.9001  0.6418  0.3838
N  0.9001  0.8582  0.1162
N  0.9694  0.1074  0.3267
N  0.9694  0.3926  0.1733

Principal peaks in the range 2θ = 10–90°, in order of rising 2θ:
- 26.57 deg, intensity 79
- 31.08 deg, intensity 71
- 34.17 deg, intensity 82
- 35.62 deg, intensity 100
- 37.99 deg, intensity 38
- 41.34 deg, intensity 39

(5)
Diffraction record for SmInNi. The powder diffraction line list is calculated, not measured: it uses a crystal structure in the Materials Project, relaxed with PBE and Cu Ka.

Cell and atoms:
a = 3.6598 Å, b = 7.9161 Å, c = 7.9161 Å
α = 119.38°, β = 90.00°, γ = 90.00°
Fractional coordinates of all 9 atoms:
Sm  0.0000  0.0000  0.0000
Sm  0.0000  0.3282  0.6644
Sm  0.0000  0.6644  0.3282
In  0.5000  0.3316  0.3316
In  0.5000  0.6630  0.9942
In  0.5000  0.9942  0.6630
Ni  0.5000  0.3278  0.9942
Ni  0.5000  0.6608  0.6608
Ni  0.5000  0.9942  0.3278

Principal peaks in the range 2θ = 10–90°, in order of rising 2θ:
- 33.20 deg, intensity 50
- 33.35 deg, intensity 100
- 39.18 deg, intensity 59
- 39.56 deg, intensity 29
- 52.57 deg, intensity 27
- 65.15 deg, intensity 25

(6)
Diffraction record for Ba3SmIrRuO9. The powder diffraction line list is calculated, not measured: it uses a crystal structure in the Materials Project, relaxed with PBE and Cu Ka.

Cell and atoms:
a = 6.0037 Å, b = 6.0037 Å, c = 14.8428 Å
α = 90.00°, β = 90.00°, γ = 120.00°
Fractional coordinates of all 30 atoms:
Ba  0.0000  0.0000  0.0000
Ba  0.0000  0.0000  0.5000
Ba  0.3333  0.6667  0.1517
Ba  0.3333  0.6667  0.8471
Ba  0.6667  0.3333  0.3471
Ba  0.6667  0.3333  0.6517
Sm  0.0000  0.0000  0.2486
Sm  0.0000  0.0000  0.7486
Ir  0.3333  0.6667  0.5840
Ir  0.6667  0.3333  0.0840
Ru  0.3333  0.6667  0.4141
Ru  0.6667  0.3333  0.9141
O  0.0213  0.5107  0.4993
O  0.1777  0.3553  0.6613
O  0.1783  0.3567  0.3393
O  0.1783  0.8217  0.3393
O  0.1777  0.8223  0.6613
O  0.3553  0.1777  0.1613
O  0.3567  0.1783  0.8393
O  0.4893  0.5107  0.4993
O  0.4893  0.9787  0.4993
O  0.5107  0.0213  0.9993
O  0.5107  0.4893  0.9993
O  0.6433  0.8217  0.3393
O  0.6447  0.8223  0.6613
O  0.8223  0.1777  0.1613
O  0.8217  0.1783  0.8393
O  0.8217  0.6433  0.8393
O  0.8223  0.6447  0.1613
O  0.9787  0.4893  0.9993

Principal peaks in the range 2θ = 10–90°, in order of rising 2θ:
- 24.84 deg, intensity 19
- 29.58 deg, intensity 63
- 29.76 deg, intensity 100
- 42.46 deg, intensity 35
- 52.71 deg, intensity 24
- 52.82 deg, intensity 20

(7)
Diffraction record for Pr4GaSbS9. The powder diffraction line list is calculated, not measured: it uses a crystal structure in the Materials Project, relaxed with PBE and Cu Ka.

Cell and atoms:
a = 13.9276 Å, b = 10.2267 Å, c = 10.2267 Å
α = 89.31°, β = 90.00°, γ = 90.00°
Fractional coordinates of all 60 atoms:
Pr  0.1011  0.1719  0.8281
Pr  0.1041  0.5542  0.3286
Pr  0.1794  0.8807  0.5488
Pr  0.1851  0.8782  0.0953
Pr  0.3149  0.3782  0.5954
Pr  0.3206  0.3807  0.0488
Pr  0.3959  0.0542  0.8286
Pr  0.3989  0.6719  0.3281
Pr  0.6011  0.3281  0.6719
Pr  0.6041  0.8286  0.0542
Pr  0.6794  0.0488  0.3807
Pr  0.6851  0.5953  0.3782
Pr  0.8149  0.0954  0.8782
Pr  0.8206  0.5488  0.8807
Pr  0.8959  0.3286  0.5542
Pr  0.8989  0.8281  0.1719
Ga  0.0933  0.6220  0.8297
Ga  0.4067  0.1220  0.3297
Ga  0.5933  0.3297  0.1220
Ga  0.9067  0.8297  0.6220
Sb  0.1138  0.1816  0.3344
Sb  0.3862  0.6816  0.8344
Sb  0.6138  0.8344  0.6816
Sb  0.8862  0.3344  0.1816
S  0.0000  0.0046  0.0046
S  0.0000  0.6389  0.6389
S  0.0019  0.0137  0.6281
S  0.0685  0.8247  0.3204
S  0.0790  0.3365  0.1515
S  0.1005  0.3392  0.5163
S  0.1895  0.4363  0.8261
S  0.2009  0.7963  0.8227
S  0.2483  0.6158  0.1465
S  0.2495  0.6242  0.5085
S  0.2505  0.1242  0.0085
S  0.2517  0.1158  0.6465
S  0.2991  0.2963  0.3227
S  0.3105  0.9363  0.3261
S  0.3995  0.8392  0.0163
S  0.4210  0.8365  0.6515
S  0.4315  0.3247  0.8204
S  0.4981  0.5137  0.1281
S  0.5000  0.1389  0.1389
S  0.5000  0.5046  0.5046
S  0.5019  0.1281  0.5137
S  0.5685  0.8204  0.3247
S  0.5790  0.6515  0.8365
S  0.6005  0.0163  0.8392
S  0.6895  0.3261  0.9363
S  0.7009  0.3227  0.2963
S  0.7483  0.6465  0.1158
S  0.7495  0.0085  0.1242
S  0.7505  0.5085  0.6242
S  0.7517  0.1465  0.6158
S  0.7991  0.8227  0.7963
S  0.8105  0.8261  0.4363
S  0.8995  0.5163  0.3392
S  0.9210  0.1515  0.3365
S  0.9315  0.3204  0.8247
S  0.9981  0.6281  0.0137

Principal peaks in the range 2θ = 10–90°, in order of rising 2θ:
- 24.47 deg, intensity 63
- 25.59 deg, intensity 49
- 25.92 deg, intensity 100
- 35.10 deg, intensity 44
- 35.70 deg, intensity 59
- 49.13 deg, intensity 53

Copy entry 1 word for word.
Diffraction record for Sn5P6O25. The powder diffraction line list is calculated, not measured: it uses a crystal structure in the Materials Project, relaxed with PBE and Cu Ka.

Cell and atoms:
a = 10.0994 Å, b = 10.0994 Å, c = 10.0994 Å
α = 49.63°, β = 49.63°, γ = 49.63°
Fractional coordinates of all 36 atoms:
Sn  0.0000  0.0000  0.0000
Sn  0.1731  0.1731  0.1731
Sn  0.4283  0.4283  0.4283
Sn  0.5717  0.5717  0.5717
Sn  0.8269  0.8269  0.8269
P  0.0611  0.3864  0.8207
P  0.1793  0.9389  0.6136
P  0.3864  0.8207  0.0611
P  0.6136  0.1793  0.9389
P  0.8207  0.0611  0.3864
P  0.9389  0.6137  0.1793
O  0.0447  0.7261  0.0999
O  0.0878  0.4372  0.1359
O  0.0999  0.0447  0.7261
O  0.1032  0.7854  0.7263
O  0.1359  0.0878  0.4372
O  0.1672  0.4419  0.5986
O  0.2146  0.2737  0.8968
O  0.2737  0.8968  0.2146
O  0.2739  0.9001  0.9553
O  0.4014  0.8328  0.5581
O  0.4372  0.1359  0.0878
O  0.4419  0.5986  0.1672
O  0.5000  0.5000  0.5000
O  0.5581  0.4014  0.8328
O  0.5628  0.8641  0.9122
O  0.5986  0.1672  0.4419
O  0.7261  0.0999  0.0447
O  0.7263  0.1032  0.7854
O  0.7854  0.7263  0.1032
O  0.8328  0.5581  0.4014
O  0.8641  0.9122  0.5628
O  0.8968  0.2146  0.2737
O  0.9001  0.9553  0.2739
O  0.9122  0.5628  0.8641
O  0.9553  0.2739  0.9001

Principal peaks in the range 2θ = 10–90°, in order of rising 2θ:
- 10.01 deg, intensity 43
- 20.67 deg, intensity 74
- 20.96 deg, intensity 100
- 23.28 deg, intensity 56
- 29.60 deg, intensity 63
- 40.30 deg, intensity 36

> What is the formula in the fourth record?

Cd3Ga2N4